Entry 1:
Starting from a cell relaxed with PBE, the XRD peak list of Pa6BeC5 was computed for a wavelength of 1.5418 Å.
Neutral-atom scattering factors, no anomalous dispersion.

Cell and atoms:
abc: 6.0862 6.0862 12.4178
angles: 90.00 90.00 120.00
Space group P6_3/mcm (No. 193)
One atom of each set of equivalent atoms:
Pa (0.0000, 0.3456, 0.1177) [12 per cell]
Be (0.0000, 0.0000, 0.2500) [2 per cell]
C (0.0000, 0.2982, 0.7500) [6 per cell]
C (0.3333, 0.6667, 0.0000) [4 per cell]

Largest 6 diffraction maxima, in order of rising 2θ, 5 to 70 degrees two-theta:
index  d [Å]  2θ/deg  I/Imax
0 0 4  3.104  28.76  53
1 1 0  3.043  29.35  41
1 1 1  2.956  30.24  100
1 1 3  2.452  36.65  96
3 0 0  1.757  52.05  38
3 0 4  1.529  60.55  41

Entry 2:
Starting from a cell relaxed with PBE, the XRD peak list of Be2PbC was computed for a wavelength of 1.5418 Å.
Neutral-atom scattering factors, no anomalous dispersion.

Cell and atoms:
abc: 5.534 5.534 7.819
angles: 90.00 90.00 90.00
Space group I-42d (No. 122)
One atom of each set of equivalent atoms:
Be (0.001, 0.250, 0.125) [8 per cell]
Pb (0.000, 0.000, 0.500) [4 per cell]
C (0.000, 0.000, 0.000) [4 per cell]

Largest 6 diffraction maxima, in order of rising 2θ, 5 to 70 degrees two-theta:
index  d [Å]  2θ/deg  I/Imax
1 0 1  4.517  19.65  78
2 0 0  2.766  32.36  100
2 1 1  2.359  38.15  57
3 0 1  1.795  50.87  22
3 1 2  1.597  57.72  39
3 2 1  1.506  61.59  20

Entry 3:
Starting from a cell relaxed with PBE, the XRD peak list of Pm2BeC2 was computed for a wavelength of 1.5418 Å.
Neutral-atom scattering factors, no anomalous dispersion.

Cell and atoms:
abc: 11.093 5.245 7.599
angles: 90.00 130.54 90.00
Space group C2/m (No. 12)
One atom of each set of equivalent atoms:
Pm (0.100, 0.000, 0.310) [4 per cell]
Pm (0.173, 0.500, 0.052) [4 per cell]
Be (0.120, 0.500, 0.647) [4 per cell]
C (0.059, 0.500, 0.361) [4 per cell]
C (0.179, 0.000, 0.080) [4 per cell]

Largest 6 diffraction maxima, in order of rising 2θ, 5 to 70 degrees two-theta:
index  d [Å]  2θ/deg  I/Imax
1 1 1  3.056  29.23  27
3 1 -1  2.977  30.02  100
1 1 -2  2.924  30.57  88
2 0 1  2.676  33.49  39
0 2 0  2.622  34.19  48
4 0 -3  2.393  37.59  37

Entry 4:
Starting from a cell relaxed with PBE, the XRD peak list of Pm2BeSiC was computed for a wavelength of 1.5418 Å.
Neutral-atom scattering factors, no anomalous dispersion.

Cell and atoms:
abc: 6.505 3.836 8.157
angles: 90.00 107.77 90.00
Space group P2_1/m (No. 11)
One atom of each set of equivalent atoms:
Pm (0.204, 0.250, 0.393) [2 per cell]
Pm (0.218, 0.250, 0.961) [2 per cell]
Be (0.452, 0.750, 0.245) [2 per cell]
Si (0.343, 0.750, 0.704) [2 per cell]
C (0.179, 0.750, 0.175) [2 per cell]

Largest 6 diffraction maxima, in order of rising 2θ, 5 to 70 degrees two-theta:
index  d [Å]  2θ/deg  I/Imax
1 1 0  3.261  27.35  88
2 0 0  3.097  28.83  46
1 0 2  2.915  30.67  30
2 0 -2  2.889  30.95  33
0 1 2  2.726  32.86  100
2 2 0  1.630  56.45  22

Entry 5:
Starting from a cell relaxed with PBE, the XRD peak list of Ti2BePtC was computed for a wavelength of 1.5418 Å.
Neutral-atom scattering factors, no anomalous dispersion.

Cell and atoms:
abc: 4.245 4.245 3.480
angles: 90.00 90.00 90.00
Space group P4/mmm (No. 123)
One atom of each set of equivalent atoms:
Ti (0.000, 0.500, 0.000) [2 per cell]
Be (0.000, 0.000, 0.500) [1 per cell]
Pt (0.500, 0.500, 0.500) [1 per cell]
C (0.000, 0.000, 0.000) [1 per cell]

Largest 6 diffraction maxima, in order of rising 2θ, 5 to 70 degrees two-theta:
index  d [Å]  2θ/deg  I/Imax
1 0 0  4.245  20.93  94
1 0 1  2.691  33.29  78
1 1 1  2.273  39.65  100
2 0 0  2.122  42.60  47
2 1 0  1.898  47.92  23
2 1 1  1.667  55.11  37

Entry 6:
Starting from a cell relaxed with PBE, the XRD peak list of RbBeC2 was computed for a wavelength of 1.5418 Å.
Neutral-atom scattering factors, no anomalous dispersion.

Cell and atoms:
abc: 4.487 4.487 11.592
angles: 90.00 90.00 90.00
Space group I4_1/amd (No. 141, origin choice 2)
One atom of each set of equivalent atoms:
Rb (0.000, 0.250, 0.375) [4 per cell]
Be (0.000, 0.250, 0.875) [4 per cell]
C (0.000, 0.000, 0.000) [8 per cell]

Largest 6 diffraction maxima, in order of rising 2θ, 5 to 70 degrees two-theta:
index  d [Å]  2θ/deg  I/Imax
1 0 1  4.184  21.23  63
1 0 3  2.928  30.53  62
1 1 2  2.783  32.16  100
2 0 0  2.243  40.20  26
2 1 1  1.977  45.90  37
2 0 4  1.774  51.52  25

Entry 7:
Starting from a cell relaxed with PBE, the XRD peak list of BeRh2C was computed for a wavelength of 1.5418 Å.
Neutral-atom scattering factors, no anomalous dispersion.

Cell and atoms:
abc: 5.493 5.493 5.493
angles: 90.00 90.00 90.00
Space group Fm-3m (No. 225)
One atom of each set of equivalent atoms:
Be (0.000, 0.000, 0.000) [4 per cell]
Rh (0.250, 0.250, 0.250) [8 per cell]
C (0.000, 0.000, 0.500) [4 per cell]

Largest 4 diffraction maxima, in order of rising 2θ, 5 to 70 degrees two-theta:
index  d [Å]  2θ/deg  I/Imax
2 0 0  2.747  32.60  100
2 2 0  1.942  46.78  97
2 2 2  1.586  58.18  25
4 0 0  1.373  68.30  15

Entry 8:
Starting from a cell relaxed with PBE, the XRD peak list of SrBeRhC2 was computed for a wavelength of 1.5418 Å.
Neutral-atom scattering factors, no anomalous dispersion.

Cell and atoms:
abc: 3.791 3.791 4.935
angles: 90.00 90.00 90.00
Space group P4/mmm (No. 123)
One atom of each set of equivalent atoms:
Sr (0.000, 0.000, 0.000) [1 per cell]
Be (0.000, 0.000, 0.500) [1 per cell]
Rh (0.500, 0.500, 0.000) [1 per cell]
C (0.000, 0.500, 0.500) [2 per cell]

Largest 6 diffraction maxima, in order of rising 2θ, 5 to 70 degrees two-theta:
index  d [Å]  2θ/deg  I/Imax
0 0 1  4.935  17.98  100
1 1 0  2.681  33.42  52
0 0 2  2.467  36.41  32
1 1 1  2.356  38.21  99
2 0 0  1.896  47.99  28
1 1 2  1.815  50.26  34